Calculated powder XRD pattern
Compound: Er5ZrZn4
Radiation: Cu Kα (λ = 1.5418 Å)
Structure: a cell relaxed with GGA-PBE

Main lines, low angle first (2θ from 10° to 90°):
| d_spacing | I (rel.) |
| --- | --- |
| 3.809 | 8 |
| 3.478 | 18 |
| 2.569 | 100 |
| 2.459 | 52 |
| 2.345 | 9 |
| 2.066 | 7 |
| 1.739 | 18 |
| 1.506 | 11 |
| 1.440 | 33 |
| 1.284 | 7 |
| 1.109 | 7 |
| 1.100 | 8 |

Structure:
a = 3.478 Å, b = 3.478 Å, c = 19.047 Å
α = 90.00°, β = 90.00°, γ = 90.00°
Sites, in units of the cell vectors:
Er 0.000 0.000 0.000
Er 0.000 0.000 0.189
Er 0.000 0.000 0.382
Er 0.000 0.000 0.618
Er 0.000 0.000 0.811
Zr 0.500 0.500 0.500
Zn 0.500 0.500 0.095
Zn 0.500 0.500 0.284
Zn 0.500 0.500 0.716
Zn 0.500 0.500 0.905

***

Calculated powder XRD pattern
Compound: Er3S4Cl
Radiation: Cu Kα (λ = 1.5418 Å)
Structure: a cell relaxed with GGA-PBE

Main lines, low angle first (2θ from 10° to 90°):
| d_spacing | I (rel.) |
| --- | --- |
| 6.347 | 67 |
| 4.524 | 68 |
| 3.939 | 69 |
| 3.599 | 84 |
| 3.422 | 54 |
| 3.331 | 100 |
| 2.729 | 35 |
| 2.380 | 66 |
| 2.337 | 73 |
| 2.241 | 80 |
| 1.958 | 57 |
| 1.873 | 38 |

Structure:
a = 7.630 Å, b = 7.630 Å, c = 9.635 Å
α = 109.08°, β = 109.08°, γ = 53.29°
Sites, in units of the cell vectors:
Er 0.006 0.994 0.500
Er 0.358 0.380 0.283
Er 0.380 0.358 0.783
Er 0.595 0.612 0.698
Er 0.612 0.595 0.198
Er 0.994 0.006 0.000
S 0.020 0.344 0.146
S 0.181 0.791 0.241
S 0.238 0.576 0.553
S 0.344 0.020 0.646
S 0.404 0.729 0.935
S 0.576 0.238 0.053
S 0.729 0.404 0.435
S 0.791 0.181 0.741
Cl 0.641 0.953 0.342
Cl 0.953 0.641 0.842